Starting from a DFT-relaxed cell (GGA+U, Alexandria), the PXRD pattern of VAgSeO5 was simulated for λ = 1.5418 Å (Cu Kα).

Atomic structure:
Cell lengths 4.239, 20.608, 5.316 Å; angles 90.00, 90.00, 90.00 degrees
Atoms (fractional coordinates):
V (0.031, 0.193, 0.250)
V (0.031, 0.307, 0.750)
V (0.969, 0.693, 0.250)
V (0.969, 0.807, 0.750)
Ag (0.125, 0.517, 0.250)
Ag (0.125, 0.983, 0.750)
Ag (0.875, 0.017, 0.250)
Ag (0.875, 0.483, 0.750)
Se (0.318, 0.620, 0.750)
Se (0.318, 0.880, 0.250)
Se (0.682, 0.120, 0.750)
Se (0.682, 0.380, 0.250)
O (0.053, 0.620, 0.006)
O (0.053, 0.620, 0.494)
O (0.053, 0.880, 0.506)
O (0.053, 0.880, 0.994)
O (0.059, 0.750, 0.000)
O (0.059, 0.750, 0.500)
O (0.388, 0.538, 0.750)
O (0.388, 0.962, 0.250)
O (0.416, 0.188, 0.250)
O (0.416, 0.312, 0.750)
O (0.584, 0.688, 0.250)
O (0.584, 0.812, 0.750)
O (0.612, 0.038, 0.750)
O (0.612, 0.462, 0.250)
O (0.941, 0.250, 0.000)
O (0.941, 0.250, 0.500)
O (0.947, 0.120, 0.006)
O (0.947, 0.120, 0.494)
O (0.947, 0.380, 0.506)
O (0.947, 0.380, 0.994)

Top 6 peaks for 2θ from 10° to 80°, low angle first:
Position (°2θ), Rel. int., index
20.95, 52, 1 0 0
29.93, 100, 1 3 1
31.00, 90, 0 6 1
33.72, 56, 0 0 2
34.76, 61, 0 8 0
46.32, 52, 2 1 1